Record 1
PmZn4Ga: calculated XRD peak list (λ = 1.5418 Å (Cu Kα)), based on the PBE geometry in Alexandria.
No peak broadening, texture or thermal motion is included.

Most intense lines, 10° ≤ 2θ ≤ 90°, sorted by position:
2theta  intensity  hkl
32.4  28  2 1 0
34.8  100  2 1 1
35.0  84  1 1 2
37.5  33  0 0 3
38.9  16  3 0 1
39.5  22  1 0 3
41.2  71  2 1 2
43.0  48  0 2 0
49.8  18  4 0 0
58.3  18  0 2 3
63.9  16  4 0 3
70.2  16  1 1 5

Atomic structure:
abc: 7.3257 4.2113 7.2034
angles: 90.00 90.00 90.00
Space group Pmma (No. 51)
Inequivalent atoms, fractional coordinates:
Pm1 0.2500 0.0000 0.1393 (multiplicity 2)
Zn1 0.0000 0.0000 0.5000 (multiplicity 2)
Zn2 0.0567 0.5000 0.8218 (multiplicity 4)
Zn3 0.2500 0.5000 0.4428 (multiplicity 2)
Ga1 0.2500 0.0000 0.7311 (multiplicity 2)

Record 2
Pm5Zn4Ga: calculated XRD peak list (λ = 1.5418 Å (Cu Kα)), based on the PBE geometry in Alexandria.
No peak broadening, texture or thermal motion is included.

Most intense lines, 10° ≤ 2θ ≤ 90°, sorted by position:
2theta  intensity  hkl
24.2  7  0 0 5
24.4  14  1 0 0
34.6  100  1 0 5
34.7  50  1 1 0
42.8  7  1 1 5
49.5  9  0 0 10
49.9  18  2 0 0
61.9  18  1 1 10
62.1  36  2 1 5
73.0  11  2 0 10
83.0  8  1 0 15
83.7  15  3 1 0

Atomic structure:
abc: 3.6542 3.6542 18.4032
angles: 90.00 90.00 90.00
Space group P4/mmm (No. 123)
Inequivalent atoms, fractional coordinates:
Pm1 0.0000 0.0000 0.0000 (multiplicity 1)
Pm2 0.0000 0.0000 0.2000 (multiplicity 2)
Pm3 0.0000 0.0000 0.3998 (multiplicity 2)
Zn1 0.5000 0.5000 0.1002 (multiplicity 2)
Zn2 0.5000 0.5000 0.2984 (multiplicity 2)
Ga1 0.5000 0.5000 0.5000 (multiplicity 1)

Record 3
Pr3Ga: calculated XRD peak list (λ = 1.5418 Å (Cu Kα)), based on the PBE geometry in Alexandria.
No peak broadening, texture or thermal motion is included.

Most intense lines, 10° ≤ 2θ ≤ 90°, sorted by position:
2theta  intensity  hkl
18.1  6  1 0 0
25.7  5  1 1 0
31.6  100  1 1 1
36.7  50  2 0 0
41.2  3  2 1 0
45.3  2  2 1 1
52.9  35  2 2 0
62.9  41  3 1 1
66.1  12  2 2 2
78.0  6  4 0 0
86.6  17  3 3 1
89.4  16  4 2 0

Atomic structure:
abc: 4.8994 4.8994 4.8994
angles: 90.00 90.00 90.00
Space group Pm-3m (No. 221)
Inequivalent atoms, fractional coordinates:
Pr1 0.0000 0.0000 0.5000 (multiplicity 3)
Ga1 0.5000 0.5000 0.5000 (multiplicity 1)

Record 4
Pr9Ga4: calculated XRD peak list (λ = 1.5418 Å (Cu Kα)), based on the PBE geometry in Alexandria.
No peak broadening, texture or thermal motion is included.

Most intense lines, 10° ≤ 2θ ≤ 90°, sorted by position:
2theta  intensity  hkl
27.8  26  3 0 1
29.3  14  4 0 0
31.5  100  3 2 1
34.2  29  0 0 2
34.9  10  4 1 1
37.6  17  1 5 0
45.7  8  4 0 2
51.8  14  1 5 2
57.8  14  2 7 1
59.6  21  3 2 3
64.1  9  7 4 1
64.8  8  5 5 2

Atomic structure:
abc: 12.1850 12.1850 5.2376
angles: 90.00 90.00 90.00
Space group I4/m (No. 87)
Inequivalent atoms, fractional coordinates:
Pr1 0.0000 0.0000 0.0000 (multiplicity 2)
Pr2 0.0945 0.3725 0.0000 (multiplicity 8)
Pr3 0.1111 0.1854 0.5000 (multiplicity 8)
Ga1 0.1140 0.7692 0.0000 (multiplicity 8)

Record 5
Pr3Ga11: calculated XRD peak list (λ = 1.5418 Å (Cu Kα)), based on the PBE geometry in Alexandria.
No peak broadening, texture or thermal motion is included.

Most intense lines, 10° ≤ 2θ ≤ 90°, sorted by position:
2theta  intensity  hkl
29.1  13  1 0 3
33.4  19  0 3 3
33.6  24  1 3 0
34.1  100  1 2 3
35.1  9  0 4 0
36.3  10  1 3 2
41.4  23  0 0 6
42.0  27  2 0 0
54.3  10  1 3 6
60.4  15  2 0 6
62.4  13  1 6 3
71.6  11  3 2 3

Atomic structure:
abc: 4.3063 10.2148 13.0810
angles: 90.00 90.00 90.00
Space group Immm (No. 71)
Inequivalent atoms, fractional coordinates:
Pr1 0.0000 0.0000 0.0000 (multiplicity 2)
Pr2 0.0000 0.0000 0.3240 (multiplicity 4)
Ga1 0.0000 0.2216 0.5000 (multiplicity 4)
Ga2 0.0000 0.2706 0.1451 (multiplicity 8)
Ga3 0.0000 0.3744 0.3344 (multiplicity 8)
Ga4 0.0000 0.5000 0.0000 (multiplicity 2)

Record 6
Pr5Ga6: calculated XRD peak list (λ = 1.5418 Å (Cu Kα)), based on the PBE geometry in Alexandria.
No peak broadening, texture or thermal motion is included.

Most intense lines, 10° ≤ 2θ ≤ 90°, sorted by position:
2theta  intensity  hkl
23.8  16  1 1 2
24.1  9  0 2 0
30.6  23  0 1 5
33.8  18  0 0 6
34.3  100  1 2 3
34.8  29  2 0 0
42.2  11  1 3 2
47.0  14  2 1 5
49.3  12  2 0 6
50.7  13  1 1 8
62.1  18  3 2 3
62.6  11  1 3 8

Atomic structure:
abc: 5.1580 7.3856 15.9336
angles: 90.00 90.00 90.00
Space group Immm (No. 71)
Inequivalent atoms, fractional coordinates:
Pr1 0.0000 0.0000 0.0000 (multiplicity 2)
Pr2 0.0000 0.0000 0.3687 (multiplicity 4)
Pr3 0.0000 0.5000 0.3156 (multiplicity 4)
Ga1 0.0000 0.2379 0.1665 (multiplicity 8)
Ga2 0.0000 0.2970 0.5000 (multiplicity 4)

Record 7
Pr3Ga: calculated XRD peak list (λ = 1.5418 Å (Cu Kα)), based on the PBE geometry in Alexandria.
No peak broadening, texture or thermal motion is included.

Most intense lines, 10° ≤ 2θ ≤ 90°, sorted by position:
2theta  intensity  hkl
25.6  21  3 0 1
29.3  100  3 2 1
29.9  68  1 1 2
30.3  30  3 3 0
32.0  54  2 4 0
32.7  95  4 1 1
34.8  20  2 2 2
36.3  49  1 3 2
36.6  19  5 1 0
50.5  21  2 3 3
51.4  24  3 5 2
52.7  32  4 1 3

Atomic structure:
abc: 12.5135 12.5135 6.3501
angles: 90.00 90.00 90.00
Space group I-4 (No. 82)
Inequivalent atoms, fractional coordinates:
Pr1 0.0368 0.3641 0.4860 (multiplicity 8)
Pr2 0.0787 0.8807 0.2355 (multiplicity 8)
Pr3 0.1736 0.7851 0.7409 (multiplicity 8)
Ga1 0.0489 0.2990 0.9792 (multiplicity 8)

Record 8
PrGa4Pt4: calculated XRD peak list (λ = 1.5418 Å (Cu Kα)), based on the PBE geometry in Alexandria.
No peak broadening, texture or thermal motion is included.

Most intense lines, 10° ≤ 2θ ≤ 90°, sorted by position:
2theta  intensity  hkl
20.8  30  0 0 2
30.4  91  2 0 1
33.7  100  2 1 1
34.6  60  1 0 3
40.7  60  2 2 0
43.0  46  2 0 3
44.9  34  1 0 4
45.5  25  2 1 3
46.2  43  2 2 2
54.5  42  3 0 3
59.0  32  4 0 0
69.8  28  3 2 4

Atomic structure:
abc: 6.2647 6.2647 8.5287
angles: 90.00 90.00 90.00
Space group P4_2/nmc (No. 137, origin choice 2)
Inequivalent atoms, fractional coordinates:
Pr1 0.2500 0.7500 0.2500 (multiplicity 2)
Ga1 0.0212 0.2500 0.1403 (multiplicity 8)
Pt1 0.0303 0.2500 0.4402 (multiplicity 8)